Structure and calculated powder X-ray diffraction pattern of YHo2Pd3 (the PBE geometry in Alexandria; Cu Kα, 1.54184 Å).
Peak positions follow from Bragg's law for the DFT cell and can differ from measured ones.

Principal peaks in the range 2θ = 10–80°, by angle:
- 2θ 35.93, I 52, hkl 2 0 0
- 2θ 36.50, I 100, hkl 1 3 1
- 2θ 51.72, I 18, hkl 2 6 0
- 2θ 64.96, I 36, hkl 3 3 1
- 2θ 66.08, I 17, hkl 2 0 2
- 2θ 77.57, I 11, hkl 2 6 2

Crystal structure
Cell lengths 4.9988, 14.9975, 3.4296 Å; angles 90.00, 90.00, 90.00 degrees
Space group Cmmm (No. 65)
Asymmetric unit:
Y 0.0000 0.0000 0.0000
Ho 0.0000 0.3336 0.0000
Pd 0.0000 0.1692 0.5000
Pd 0.0000 0.5000 0.5000

***

Structure and calculated powder X-ray diffraction pattern of YHoPd14 (the PBE geometry in Alexandria; Cu Kα, 1.54184 Å).
Peak positions follow from Bragg's law for the DFT cell and can differ from measured ones.

Principal peaks in the range 2θ = 10–80°, by angle:
- 2θ 38.59, I 100, hkl 2 0 2
- 2θ 44.59, I 33, hkl 2 2 0
- 2θ 45.38, I 15, hkl 0 0 4
- 2θ 65.51, I 20, hkl 2 2 4
- 2θ 78.12, I 25, hkl 4 2 2
- 2θ 79.25, I 11, hkl 2 0 6

Crystal structure
Cell lengths 5.7471, 5.7471, 7.9947 Å; angles 90.00, 90.00, 90.00 degrees
Space group P4/mmm (No. 123)
Asymmetric unit:
Y 0.0000 0.0000 0.0000
Ho 0.5000 0.5000 0.0000
Pd 0.0000 0.0000 0.5000
Pd 0.0000 0.5000 0.0000
Pd 0.0000 0.5000 0.5000
Pd 0.2507 0.2507 0.2584
Pd 0.5000 0.5000 0.5000

***

Structure and calculated powder X-ray diffraction pattern of YHoPd4 (the PBE geometry in Alexandria; Cu Kα, 1.54184 Å).
Peak positions follow from Bragg's law for the DFT cell and can differ from measured ones.

Principal peaks in the range 2θ = 10–80°, by angle:
- 2θ 32.90, I 32, hkl 2 2 0
- 2θ 38.79, I 100, hkl 3 1 1
- 2θ 40.59, I 35, hkl 2 2 2
- 2θ 58.75, I 12, hkl 4 2 2
- 2θ 62.71, I 32, hkl 5 1 1
- 2θ 69.00, I 26, hkl 4 4 0

Crystal structure
Cell lengths 7.6990, 7.6990, 7.6990 Å; angles 90.00, 90.00, 90.00 degrees
Space group F-43m (No. 216)
Asymmetric unit:
Y 0.0000 0.0000 0.0000
Ho 0.2500 0.2500 0.2500
Pd 0.1249 0.1249 0.6249

***

Structure and calculated powder X-ray diffraction pattern of YHo4Pd2 (the PBE geometry in Alexandria; Cu Kα, 1.54184 Å).
Peak positions follow from Bragg's law for the DFT cell and can differ from measured ones.

Principal peaks in the range 2θ = 10–80°, by angle:
- 2θ 27.84, I 47, hkl 0 1 5
- 2θ 32.95, I 100, hkl 1 0 10
- 2θ 45.75, I 41, hkl 1 1 0
- 2θ 48.78, I 31, hkl 0 1 20
- 2θ 57.52, I 20, hkl 0 2 10
- 2θ 76.42, I 17, hkl 2 1 10

Crystal structure
Cell lengths 3.9664, 3.9664, 44.4825 Å; angles 90.00, 90.00, 120.00 degrees
Space group R-3m (No. 166, hexagonal axes)
Asymmetric unit:
Y 0.0000 0.0000 0.0000
Ho 0.0000 0.0000 0.1980
Ho 0.0000 0.0000 0.3960
Pd 0.0000 0.0000 0.0990

***

Structure and calculated powder X-ray diffraction pattern of YHo3Pd2 (the PBE geometry in Alexandria; Cu Kα, 1.54184 Å).
Peak positions follow from Bragg's law for the DFT cell and can differ from measured ones.

Principal peaks in the range 2θ = 10–80°, by angle:
- 2θ 29.63, I 38, hkl 0 3 1
- 2θ 31.90, I 39, hkl 1 2 1
- 2θ 32.87, I 47, hkl 0 1 3
- 2θ 33.07, I 100, hkl 1 1 2
- 2θ 38.24, I 67, hkl 1 3 1
- 2θ 48.32, I 27, hkl 2 0 0

Crystal structure
Cell lengths 3.7665, 9.6706, 8.5195 Å; angles 90.00, 90.00, 90.00 degrees
Space group Pmc2_1 (No. 26)
Asymmetric unit:
Y 0.0000 0.0687 0.0000
Ho 0.0000 0.2859 0.6585
Ho 0.5000 0.2149 0.3199
Ho 0.5000 0.4337 0.9787
Pd 0.0000 0.4257 0.2515
Pd 0.5000 0.0757 0.7255

***

Structure and calculated powder X-ray diffraction pattern of YHoZnPd (the PBE geometry in Alexandria; Cu Kα, 1.54184 Å).
Peak positions follow from Bragg's law for the DFT cell and can differ from measured ones.

Principal peaks in the range 2θ = 10–80°, by angle:
- 2θ 12.66, I 13, hkl 0 0 1
- 2θ 35.76, I 51, hkl 1 1 0
- 2θ 36.05, I 100, hkl 1 0 2
- 2θ 51.47, I 18, hkl 2 0 0
- 2θ 64.44, I 36, hkl 2 1 2
- 2θ 65.01, I 17, hkl 1 1 4

Crystal structure
Cell lengths 3.5510, 3.5510, 6.9916 Å; angles 90.00, 90.00, 90.00 degrees
Space group P4mm (No. 99)
Asymmetric unit:
Y 0.0000 0.0000 0.0000
Ho 0.0000 0.0000 0.5079
Zn 0.5000 0.5000 0.2571
Pd 0.5000 0.5000 0.7453

***

- Number 5 is which compound?
  YHo3Pd2